Starting from the PBE geometry in the Materials Project, the powder diffractogram of TbAl10Fe2 was computed for copper Kα.
Kinematic intensities with the Lorentz-polarization factor, no thermal factor.

The 6 most intense peaks (2θ = 15–90°), sorted by position:
2theta	d_spacing	I (rel.)
16.50	5.373	40
28.18	3.167	42
28.43	3.140	38
34.77	2.580	43
40.38	2.234	100
40.92	2.205	88

Crystal structure
```
data_TbAl10Fe2
_cell_length_a 8.935
_cell_length_b 10.134
_cell_length_c 8.987
_cell_angle_alpha 90.00
_cell_angle_beta 90.00
_cell_angle_gamma 90.00
_space_group_name_H-M_alt 'C m c m'
_space_group_IT_number 63
_space_group_name_Hall '-C 2c 2'
loop_
_atom_site_label
_atom_site_fract_x
_atom_site_fract_y
_atom_site_fract_z
_atom_site_occupancy
Tb1 0.000 0.126 0.250 1
Al1 0.000 0.156 0.598 1
Al2 0.000 0.374 0.045 1
Al3 0.150 0.369 0.750 1
Al4 0.223 0.360 0.250 1
Al5 0.229 0.000 0.000 1
Fe1 0.250 0.250 0.000 1
```